This entry pairs a crystal structure of Pr2AlAgO5 with its simulated powder diffractogram. Radiation: Cu Kα. Structure: a structure optimized by DFT (PBE).

Structural model:
Cell lengths 7.275, 7.275, 7.275 Å; angles 123.09, 123.09, 84.73 degrees
Element x y z (fractional)
Pr 0.181 0.681 0.863
Pr 0.319 0.181 0.500
Pr 0.681 0.819 0.500
Pr 0.819 0.319 0.137
Al 0.250 0.750 0.500
Al 0.750 0.250 0.500
Ag 0.250 0.250 0.000
Ag 0.750 0.750 0.000
O 0.000 0.000 0.000
O 0.006 0.771 0.500
O 0.229 0.729 0.235
O 0.271 0.506 0.500
O 0.494 0.994 0.765
O 0.500 0.500 0.000
O 0.506 0.006 0.235
O 0.729 0.494 0.500
O 0.771 0.271 0.765
O 0.994 0.229 0.500

Principal peaks in the range 10° ≤ 2θ ≤ 90°, in order of rising 2θ:
2θ 16.49, I 26.3
2θ 24.58, I 23.3
2θ 30.00, I 59.6
2θ 30.69, I 100.0
2θ 33.34, I 30.3
2θ 36.66, I 25.3
2θ 38.39, I 65.2
2θ 41.18, I 29.6
2θ 50.39, I 19.5
2θ 51.74, I 21.9
2θ 55.30, I 25.1
2θ 60.86, I 20.5

***

This entry pairs a crystal structure of Gd2Si2O7 with its simulated powder diffractogram. Radiation: Cu Kα. Structure: a structure optimized by DFT (PBE).

Structural model:
Cell lengths 6.739, 6.774, 12.261 Å; angles 94.20, 91.05, 91.67 degrees
Element x y z (fractional)
Gd 0.051 0.327 0.116
Gd 0.119 0.088 0.359
Gd 0.331 0.825 0.107
Gd 0.365 0.227 0.633
Gd 0.635 0.773 0.367
Gd 0.669 0.175 0.893
Gd 0.881 0.912 0.641
Gd 0.949 0.673 0.884
Si 0.148 0.625 0.382
Si 0.152 0.150 0.884
Si 0.375 0.730 0.595
Si 0.488 0.670 0.824
Si 0.512 0.330 0.176
Si 0.625 0.270 0.405
Si 0.848 0.850 0.116
Si 0.852 0.375 0.618
O 0.001 0.667 0.082
O 0.002 0.989 0.815
O 0.033 0.231 0.577
O 0.079 0.418 0.315
O 0.227 0.909 0.621
O 0.231 0.086 0.003
O 0.285 0.576 0.492
O 0.291 0.777 0.315
O 0.303 0.708 0.906
O 0.343 0.213 0.814
O 0.358 0.486 0.128
O 0.381 0.136 0.209
O 0.399 0.579 0.696
O 0.416 0.175 0.447
O 0.584 0.825 0.553
O 0.601 0.421 0.304
O 0.619 0.864 0.791
O 0.642 0.514 0.872
O 0.657 0.787 0.186
O 0.697 0.292 0.094
O 0.709 0.223 0.685
O 0.715 0.424 0.508
O 0.769 0.914 0.997
O 0.773 0.091 0.379
O 0.921 0.582 0.685
O 0.967 0.769 0.423
O 0.998 0.011 0.185
O 0.999 0.333 0.918

Principal peaks in the range 10° ≤ 2θ ≤ 90°, in order of rising 2θ:
2θ 13.12, I 18.0
2θ 19.80, I 28.8
2θ 19.98, I 39.8
2θ 26.39, I 26.4
2θ 28.07, I 18.7
2θ 29.23, I 100.0
2θ 30.02, I 44.8
2θ 30.56, I 32.3
2θ 31.25, I 45.6
2θ 32.41, I 23.7
2θ 42.00, I 19.9
2θ 49.42, I 25.9

***

This entry pairs a crystal structure of SmPaTi2O8 with its simulated powder diffractogram. Radiation: Cu Kα. Structure: a structure optimized by DFT (PBE).

Structural model:
Cell lengths 6.681, 6.681, 6.681 Å; angles 134.29, 134.29, 66.64 degrees
Element x y z (fractional)
Sm 0.000 0.000 0.000
Pa 0.750 0.250 0.500
Ti 0.250 0.750 0.500
Ti 0.500 0.500 0.000
O 0.069 0.654 0.063
O 0.155 0.250 0.583
O 0.346 0.410 0.416
O 0.428 0.845 0.096
O 0.590 0.006 0.937
O 0.668 0.572 0.417
O 0.750 0.332 0.904
O 0.994 0.931 0.584

Principal peaks in the range 10° ≤ 2θ ≤ 90°, in order of rising 2θ:
2θ 18.86, I 49.9
2θ 29.12, I 100.0
2θ 29.53, I 13.8
2θ 32.07, I 14.1
2θ 34.57, I 19.7
2θ 39.66, I 19.1
2θ 46.09, I 14.1
2θ 47.86, I 30.7
2θ 49.69, I 14.5
2θ 55.35, I 16.7
2θ 58.63, I 28.2
2θ 77.56, I 12.0

***

This entry pairs a crystal structure of TbY4Sb5 with its simulated powder diffractogram. Radiation: Cu Kα. Structure: a structure optimized by DFT (PBE).

Structural model:
Cell lengths 11.617, 11.617, 11.617 Å; angles 158.20, 148.99, 38.23 degrees
Element x y z (fractional)
Tb 0.000 0.000 0.000
Y 0.200 0.200 0.000
Y 0.400 0.400 0.000
Y 0.600 0.600 0.000
Y 0.800 0.800 0.000
Sb 0.100 0.600 0.500
Sb 0.300 0.800 0.500
Sb 0.500 0.000 0.500
Sb 0.700 0.200 0.500
Sb 0.900 0.400 0.500

Principal peaks in the range 10° ≤ 2θ ≤ 90°, in order of rising 2θ:
2θ 14.82, I 1.0
2θ 18.74, I 0.6
2θ 24.83, I 1.0
2θ 26.14, I 0.6
2θ 28.75, I 100.0
2θ 41.10, I 75.2
2θ 48.62, I 0.5
2θ 50.93, I 26.6
2θ 59.53, I 12.4
2θ 67.43, I 33.7
2θ 74.89, I 24.9
2θ 89.19, I 8.2

***

This entry pairs a crystal structure of Nd3AgN with its simulated powder diffractogram. Radiation: Cu Kα. Structure: a structure optimized by DFT (PBE).

Structural model:
Cell lengths 8.949, 6.413, 9.544 Å; angles 90.00, 115.29, 90.00 degrees
Element x y z (fractional)
Nd 0.066 0.079 0.358
Nd 0.066 0.421 0.858
Nd 0.195 0.588 0.548
Nd 0.195 0.912 0.048
Nd 0.348 0.120 0.762
Nd 0.348 0.380 0.262
Nd 0.652 0.620 0.738
Nd 0.652 0.880 0.238
Nd 0.805 0.088 0.952
Nd 0.805 0.412 0.452
Nd 0.934 0.579 0.142
Nd 0.934 0.921 0.642
Ag 0.410 0.662 0.907
Ag 0.410 0.838 0.407
Ag 0.590 0.162 0.593
Ag 0.590 0.338 0.093
N 0.076 0.247 0.102
N 0.076 0.253 0.602
N 0.924 0.747 0.398
N 0.924 0.753 0.898

Principal peaks in the range 10° ≤ 2θ ≤ 90°, in order of rising 2θ:
2θ 30.14, I 40.5
2θ 30.68, I 96.3
2θ 31.44, I 100.0
2θ 34.16, I 10.5
2θ 34.42, I 37.1
2θ 40.58, I 21.0
2θ 41.55, I 12.9
2θ 47.11, I 11.3
2θ 51.04, I 15.5
2θ 55.08, I 14.2
2θ 58.10, I 11.7
2θ 60.96, I 10.3

***

This entry pairs a crystal structure of MnNb2Ag with its simulated powder diffractogram. Radiation: Cu Kα. Structure: a structure optimized by DFT (PBE).

Structural model:
Cell lengths 4.526, 4.526, 4.526 Å; angles 60.00, 60.00, 60.00 degrees
Element x y z (fractional)
Mn 0.000 0.000 0.000
Nb 0.250 0.250 0.250
Nb 0.750 0.750 0.750
Ag 0.500 0.500 0.500

Principal peaks in the range 10° ≤ 2θ ≤ 90°, in order of rising 2θ:
2θ 24.08, I 6.1
2θ 27.88, I 0.5
2θ 39.83, I 100.0
2θ 47.09, I 3.1
2θ 57.60, I 16.2
2θ 63.33, I 1.2
2θ 72.32, I 31.9
2θ 77.48, I 1.0
2θ 85.89, I 10.1

***

This entry pairs a crystal structure of Nd3Sm2Th2 with its simulated powder diffractogram. Radiation: Cu Kα. Structure: a structure optimized by DFT (PBE).

Structural model:
Cell lengths 5.658, 3.469, 12.526 Å; angles 90.00, 103.05, 90.00 degrees
Element x y z (fractional)
Nd 0.000 0.000 0.000
Nd 0.289 0.000 0.578
Nd 0.711 0.000 0.422
Sm 0.425 0.500 0.850
Sm 0.575 0.500 0.150
Th 0.142 0.000 0.282
Th 0.858 0.000 0.718

Principal peaks in the range 10° ≤ 2θ ≤ 90°, in order of rising 2θ:
2θ 25.68, I 18.3
2θ 26.72, I 14.0
2θ 30.11, I 100.0
2θ 30.45, I 54.9
2θ 31.63, I 44.6
2θ 33.96, I 23.0
2θ 35.49, I 20.3
2θ 39.98, I 23.1
2θ 47.09, I 18.6
2θ 55.38, I 18.3
2θ 61.98, I 32.6
2θ 62.85, I 12.7

***

This entry pairs a crystal structure of NiBS4 with its simulated powder diffractogram. Radiation: Cu Kα. Structure: a structure optimized by DFT (PBE).

Structural model:
Cell lengths 5.672, 5.672, 5.486 Å; angles 115.06, 115.06, 34.38 degrees
Element x y z (fractional)
Ni 0.000 0.000 0.000
B 0.500 0.500 0.500
S 0.126 0.126 0.452
S 0.390 0.390 0.097
S 0.610 0.610 0.903
S 0.874 0.874 0.548

Principal peaks in the range 10° ≤ 2θ ≤ 90°, in order of rising 2θ:
2θ 18.04, I 17.3
2θ 18.27, I 63.2
2θ 19.16, I 17.2
2θ 28.15, I 15.1
2θ 31.09, I 16.0
2θ 36.55, I 30.8
2θ 37.06, I 100.0
2θ 48.31, I 28.6
2θ 50.17, I 26.0
2θ 54.75, I 15.9
2θ 57.51, I 22.3
2θ 65.17, I 16.4

***

This entry pairs a crystal structure of Pm2YAu6 with its simulated powder diffractogram. Radiation: Cu Kα. Structure: a structure optimized by DFT (PBE).

Structural model:
Cell lengths 8.681, 8.681, 5.289 Å; angles 98.72, 98.72, 144.19 degrees
Element x y z (fractional)
Pm 0.165 0.835 0.000
Pm 0.835 0.165 0.000
Y 0.500 0.500 0.500
Au 0.158 0.158 0.826
Au 0.174 0.501 0.667
Au 0.499 0.826 0.333
Au 0.501 0.174 0.667
Au 0.826 0.499 0.333
Au 0.842 0.842 0.174

Principal peaks in the range 10° ≤ 2θ ≤ 90°, in order of rising 2θ:
2θ 32.52, I 74.0
2θ 33.96, I 58.5
2θ 35.35, I 48.0
2θ 37.38, I 14.9
2θ 37.74, I 100.0
2θ 40.23, I 40.4
2θ 43.54, I 24.4
2θ 51.66, I 21.3
2θ 61.50, I 33.7
2θ 62.32, I 23.1
2θ 79.73, I 12.0
2θ 79.89, I 11.6